Entry 1:
YMnRu2: theoretical X-ray powder pattern (CuKα), based on a structure optimized by DFT (GGA-PBE).

Top 10 peaks for 5° ≤ 2θ ≤ 70°, in order of rising 2θ:
two_theta	d/Å	I/Imax
19.76	4.493	3
26.97	3.306	2
28.09	3.177	4
33.66	2.663	1
39.33	2.291	100
40.14	2.247	47
49.03	1.858	2
53.36	1.717	1
55.60	1.653	9
58.06	1.589	15

Structure:
a = 4.493 Å, b = 4.493 Å, c = 3.306 Å
α = 90.00°, β = 90.00°, γ = 90.00°
Sites, in units of the cell vectors:
Y 0.000 0.000 0.000
Mn 0.500 0.500 0.000
Ru 0.000 0.500 0.500
Ru 0.500 0.000 0.500


Entry 2:
Mn2S3: theoretical X-ray powder pattern (CuKα), based on a structure optimized by DFT (GGA-PBE).

Top 10 peaks for 5° ≤ 2θ ≤ 70°, in order of rising 2θ:
two_theta	d/Å	I/Imax
20.71	4.288	52
28.43	3.139	37
30.45	2.935	27
34.91	2.570	68
42.15	2.144	18
46.05	1.971	100
52.88	1.731	15
54.12	1.695	52
61.05	1.518	11
66.03	1.415	8

Structure:
a = 6.308 Å, b = 6.308 Å, c = 6.308 Å
α = 55.46°, β = 55.46°, γ = 55.46°
Sites, in units of the cell vectors:
Mn 0.160 0.160 0.160
Mn 0.340 0.340 0.340
Mn 0.660 0.660 0.660
Mn 0.840 0.840 0.840
S 0.070 0.750 0.430
S 0.250 0.570 0.930
S 0.430 0.070 0.750
S 0.570 0.930 0.250
S 0.750 0.430 0.070
S 0.930 0.250 0.570


Entry 3:
Mn2S: theoretical X-ray powder pattern (CuKα), based on a structure optimized by DFT (GGA-PBE).

Top 10 peaks for 5° ≤ 2θ ≤ 70°, in order of rising 2θ:
two_theta	d/Å	I/Imax
30.07	2.972	8
31.24	2.864	17
37.43	2.402	62
43.91	2.062	100
44.39	2.041	19
44.57	2.033	69
54.55	1.682	19
54.71	1.678	21
60.56	1.529	17
62.51	1.486	15

Structure:
a = 2.972 Å, b = 4.359 Å, c = 4.359 Å
α = 41.07°, β = 90.00°, γ = 90.00°
Sites, in units of the cell vectors:
Mn 0.000 0.000 0.000
Mn 0.500 0.295 0.295
S 0.000 0.699 0.699